# Cs4Sn2Te7
Computed XRD peak list, a wavelength of 1.5418 Å. Input: DFT lattice parameters and positions (GGA-PBE).
No peak broadening, texture or thermal motion is included.

Principal peaks in the range 2θ from 5° to 70°, in order of falling intensity:
| 2θ/deg | d (Å) | I_rel |
| --- | --- | --- |
| 24.58 | 3.622 | 100 |
| 22.23 | 3.998 | 66 |
| 24.32 | 3.659 | 58 |
| 26.97 | 3.305 | 57 |
| 29.20 | 3.058 | 46 |
| 33.19 | 2.699 | 46 |
| 21.30 | 4.172 | 41 |
| 51.72 | 1.768 | 28 |
| 24.16 | 3.683 | 27 |
| 33.57 | 2.670 | 25 |

Cell and atoms:
Cell: 9.313 9.313 19.906 Å, 106.03 106.03 50.84°
Sites, in units of the cell vectors:
Cs: 0.038 0.452 0.855
Cs: 0.143 0.690 0.557
Cs: 0.310 0.857 0.943
Cs: 0.452 0.038 0.355
Cs: 0.548 0.962 0.645
Cs: 0.690 0.143 0.057
Cs: 0.857 0.310 0.443
Cs: 0.962 0.548 0.145
Sn: 0.219 0.682 0.340
Sn: 0.318 0.781 0.160
Sn: 0.682 0.219 0.840
Sn: 0.781 0.318 0.660
Te: 0.008 0.402 0.649
Te: 0.039 0.961 0.250
Te: 0.196 0.634 0.040
Te: 0.350 0.492 0.758
Te: 0.366 0.804 0.460
Te: 0.402 0.008 0.149
Te: 0.492 0.350 0.258
Te: 0.508 0.650 0.742
Te: 0.598 0.992 0.851
Te: 0.634 0.196 0.540
Te: 0.650 0.508 0.242
Te: 0.804 0.366 0.960
Te: 0.961 0.039 0.750
Te: 0.992 0.598 0.351


# CsSn2Te3
Computed XRD peak list, a wavelength of 1.5418 Å. Input: DFT lattice parameters and positions (GGA-PBE).
No peak broadening, texture or thermal motion is included.

Principal peaks in the range 2θ from 5° to 70°, in order of falling intensity:
| 2θ/deg | d (Å) | I_rel |
| --- | --- | --- |
| 26.93 | 3.311 | 100 |
| 32.46 | 2.758 | 66 |
| 28.94 | 3.086 | 66 |
| 30.22 | 2.957 | 41 |
| 22.64 | 3.928 | 36 |
| 40.11 | 2.248 | 35 |
| 42.38 | 2.133 | 35 |
| 30.95 | 2.889 | 30 |
| 52.14 | 1.754 | 26 |
| 6.68 | 13.231 | 23 |

Cell and atoms:
Cell: 4.265 13.231 8.635 Å, 90.00 90.00 90.00°
Sites, in units of the cell vectors:
Cs: 0.000 0.139 0.000
Cs: 0.000 0.861 0.500
Sn: 0.000 0.231 0.495
Sn: 0.000 0.769 0.995
Sn: 0.500 0.498 0.034
Sn: 0.500 0.502 0.534
Te: 0.000 0.399 0.723
Te: 0.000 0.601 0.223
Te: 0.500 0.098 0.626
Te: 0.500 0.320 0.266
Te: 0.500 0.680 0.766
Te: 0.500 0.902 0.126